Diffraction record for HoGa5Rh6. The powder diffraction line list is calculated, not measured: it uses a structure optimized by DFT (GGA-PBE) and copper Kα.
No peak broadening, texture or thermal motion is included.

Largest 10 diffraction maxima, sorted by position, 5 to 70 degrees two-theta:
| (hkl) | 2θ (°) | I/Imax |
| --- | --- | --- |
| 0 1 1 | 19.53 | 1.2 |
| 1 1 -1 | 25.86 | 3.0 |
| 0 0 2 | 27.53 | 1.2 |
| 0 2 1 | 31.27 | 1.2 |
| 1 1 1 | 32.51 | 2.9 |
| 1 2 1 | 40.93 | 100.0 |
| 2 0 -1 | 41.84 | 47.6 |
| 0 4 0 | 57.86 | 8.4 |
| 2 0 2 | 60.65 | 15.4 |
| 2 3 -1 | 61.19 | 1.4 |

Cell and atoms:
abc: 4.3165 6.3749 6.8279
angles: 90.00 108.34 90.00
Space group P2/m (No. 10)
Inequivalent atoms, fractional coordinates:
Ho: 0.0000 0.0000 0.0000 [1 per cell]
Ga: 0.0000 0.5000 0.0000 [1 per cell]
Ga: 0.3329 0.0000 0.6655 [2 per cell]
Ga: 0.3343 0.5000 0.6690 [2 per cell]
Rh: 0.1731 0.2589 0.3458 [4 per cell]
Rh: 0.5000 0.2720 0.0000 [2 per cell]